(1)
Tb2PrInAu4: calculated X-ray powder pattern (Cu Kα (λ = 1.5418 Å)), based on a cell relaxed with GGA-PBE.

Crystal structure
```
Tb2PrInAu4
1.0
2.534 1.463 8.477
-2.534 1.463 8.477
0.000 -2.926 8.477
Tb Pr In Au
2 1 1 4
Cartesian
0.000 0.000 6.122 Tb
0.000 0.000 19.309 Tb
0.000 0.000 0.000 Pr
0.000 0.000 12.716 In
0.000 0.000 3.062 Au
0.000 0.000 9.511 Au
0.000 0.000 15.920 Au
0.000 0.000 22.369 Au
```

The 10 most intense peaks (5° ≤ 2θ ≤ 70°), in order of rising 2θ:
24.65 deg, rel. 6; 34.85 deg, rel. 98; 35.43 deg, rel. 100; 48.24 deg, rel. 3; 50.54 deg, rel. 34; 56.62 deg, rel. 2; 62.11 deg, rel. 15; 63.24 deg, rel. 35; 63.61 deg, rel. 18; 66.34 deg, rel. 3

=====

(2)
Pr8Dy5Pu: calculated X-ray powder pattern (Cu Kα (λ = 1.5418 Å)), based on a cell relaxed with GGA-PBE.

Crystal structure
```
Pr8Dy5Pu
1.0
7.466 -4.454 0.000
7.466 4.454 0.000
-6.050 0.000 7.357
Pr Dy Pu
8 5 1
Cartesian
-1.713 0.000 2.663 Pr
1.057 1.537 4.189 Pr
-1.257 -1.487 6.126 Pr
3.107 -0.875 2.142 Pr
7.824 1.537 3.168 Pr
5.774 -0.875 5.215 Pr
10.138 -1.487 1.231 Pr
10.594 0.000 4.694 Pr
5.735 1.582 0.348 Dy
3.146 1.582 7.009 Dy
2.152 -1.248 5.717 Dy
6.729 -1.248 1.640 Dy
7.466 -4.188 0.000 Dy
4.441 1.570 3.678 Pu
```

The 10 most intense peaks (5° ≤ 2θ ≤ 70°), in order of rising 2θ:
25.25 deg, rel. 25; 29.20 deg, rel. 29; 29.88 deg, rel. 40; 31.09 deg, rel. 65; 31.52 deg, rel. 100; 32.19 deg, rel. 47; 33.80 deg, rel. 22; 34.04 deg, rel. 41; 35.60 deg, rel. 27; 50.70 deg, rel. 19